Structure and theoretical powder diffraction line list of RbTm2IrO8 (a PBE-relaxed structure; Cu Kα).
Lines closer than 0.1° are merged.

Atomic structure:
```
12
Lattice="4.5483 0.0000 0.0000 -0.3854 4.7494 0.0000 -1.0646 -0.6298 7.5713" Properties=species:S:1:pos:R:3 pbc="T T T"
Rb 0.0000 0.0000 0.0000
Tm 1.0187 1.7432 5.4276
Tm 2.0796 2.3764 2.1437
Ir -0.5323 -0.3149 3.7857
O -0.1764 3.1516 2.5287
O 0.2198 3.8954 5.2756
O 0.7702 0.9908 3.3074
O 1.3353 2.4836 0.0305
O 1.7630 1.6360 7.5408
O 2.3282 3.1289 4.2640
O 2.8785 0.2242 2.2957
O 3.2747 0.9681 5.0426
```

Principal peaks in the range 2θ from 10° to 80°, by intensity:
2θ (°), Rel. int., (hkl)
28.60, 100.0, 1 0 -2
26.09, 73.9, 1 -1 0
11.69, 50.0, 0 0 1
28.96, 46.3, 0 1 -2
48.10, 36.6, 1 2 -2
31.46, 30.9, 0 1 2
33.11, 26.0, 1 0 2
38.02, 23.9, 0 2 0
43.68, 18.9, 1 0 3
48.34, 16.2, -1 2 2

---

Structure and theoretical powder diffraction line list of RbYIrO6 (a PBE-relaxed structure; Cu Kα).
Lines closer than 0.1° are merged.

Atomic structure:
```
9
Lattice="5.6536 0.0000 0.0000 -2.8268 4.8961 0.0000 0.0000 0.0000 6.1828" Properties=species:S:1:pos:R:3 pbc="T T T"
Rb 0.0000 0.0000 0.0000
Y 2.8268 1.6320 3.0914
Ir 0.0000 3.2641 3.0914
O -0.8805 1.9864 1.9985
O -1.5468 3.1404 4.1843
O 0.8805 1.9864 4.1843
O -0.6663 4.6655 1.9985
O 1.5468 3.1404 1.9985
O 0.6663 4.6655 4.1843
```

Principal peaks in the range 2θ from 10° to 80°, by intensity:
2θ (°), Rel. int., (hkl)
23.17, 100.0, 1 0 1
14.33, 46.8, 0 0 1
43.38, 46.2, 1 1 2
31.65, 37.4, 1 1 0
18.12, 21.3, 1 0 0
51.55, 21.0, 2 1 1
39.59, 19.8, 2 0 1
34.90, 19.1, 1 1 1
58.52, 14.8, 2 0 3
28.88, 13.8, 0 0 2